Theoretical PXRD pattern
Compound: YHo4Sc
Radiation: Cu Kα
Structure: a crystal structure in Alexandria, relaxed with PBE
Kinematic intensities with the Lorentz-polarization factor, no thermal factor.

The 12 most intense peaks (5 to 70 degrees two-theta), low angle first:
2θ/deg	I_rel
18.69	10
19.18	5
25.43	3
28.92	24
32.36	24
33.23	100
43.95	15
51.26	19
58.28	20
61.93	22
62.47	16
69.77	4

```
YHo4Sc
1.0
5.5325 0.0000 0.0000
0.0000 1.7835 9.2550
0.0000 -1.7835 9.2550
Y Ho Sc
1 4 1
Cartesian
0.0000 0.0000 0.0000 Y
0.0000 0.0000 6.1102 Ho
0.0000 0.0000 12.3727 Ho
2.7663 0.0000 10.3282 Ho
2.7663 0.0000 16.3880 Ho
2.7663 0.0000 4.1072 Sc
```

Theoretical PXRD pattern
Compound: Ho3Sc2Zn3
Radiation: Cu Kα
Structure: a crystal structure in Alexandria, relaxed with PBE
Kinematic intensities with the Lorentz-polarization factor, no thermal factor.

The 12 most intense peaks (5 to 70 degrees two-theta), low angle first:
2θ/deg	I_rel
8.51	22
21.81	7
25.77	9
27.83	10
34.55	20
35.66	100
47.15	5
50.47	14
52.18	7
62.63	13
64.05	20
64.79	7

```
Ho3Sc2Zn3
1.0
-1.7528 2.5197 10.3848
1.7528 -2.5197 10.3848
1.7528 2.5197 -10.3848
Ho Sc Zn
3 2 3
Cartesian
0.0000 0.0000 0.0000 Ho
1.7528 0.0000 7.8478 Ho
0.0000 2.5197 2.5370 Ho
0.0000 0.0000 4.8135 Sc
0.0000 0.0000 15.9562 Sc
1.7528 0.0000 2.5325 Zn
0.0000 0.0000 10.3848 Zn
0.0000 2.5197 7.8523 Zn
```

Theoretical PXRD pattern
Compound: HoSc2Zn6
Radiation: Cu Kα
Structure: a crystal structure in Alexandria, relaxed with PBE
Kinematic intensities with the Lorentz-polarization factor, no thermal factor.

The 12 most intense peaks (5 to 70 degrees two-theta), low angle first:
2θ/deg	I_rel
13.41	27
27.01	8
27.14	5
30.39	10
36.08	100
38.67	4
41.02	69
45.65	6
49.86	7
55.76	26
55.97	9
57.63	4

```
HoSc2Zn6
1.0
7.6226 0.0000 0.0000
-3.8113 6.6014 0.0000
0.0000 0.0000 3.2859
Ho Sc Zn
1 2 6
Cartesian
0.0000 0.0000 0.0000 Ho
0.0000 4.4009 0.0000 Sc
3.8113 2.2004 0.0000 Sc
-1.2858 2.2270 1.6429 Zn
-2.5255 4.3743 1.6429 Zn
2.5716 0.0000 1.6429 Zn
1.2858 2.2270 1.6429 Zn
5.0510 0.0000 1.6429 Zn
2.5255 4.3743 1.6429 Zn
```

Theoretical PXRD pattern
Compound: HoZr2Sc9
Radiation: Cu Kα
Structure: a crystal structure in Alexandria, relaxed with PBE
Kinematic intensities with the Lorentz-polarization factor, no thermal factor.

The 12 most intense peaks (5 to 70 degrees two-theta), low angle first:
2θ/deg	I_rel
19.16	8
19.30	16
27.36	21
33.67	100
38.89	16
39.17	33
43.99	8
48.42	6
56.39	20
56.60	11
67.11	11
67.50	24

```
HoZr2Sc9
1.0
4.5992 0.0000 0.0000
0.0000 4.5992 0.0000
0.0000 0.0000 13.8952
Ho Zr Sc
1 2 9
Cartesian
0.0000 0.0000 0.0000 Ho
0.0000 0.0000 4.6446 Zr
0.0000 0.0000 9.2506 Zr
0.0000 2.2996 2.4564 Sc
0.0000 2.2996 6.9476 Sc
0.0000 2.2996 11.4388 Sc
2.2996 0.0000 2.4564 Sc
2.2996 0.0000 6.9476 Sc
2.2996 0.0000 11.4388 Sc
2.2996 2.2996 0.0000 Sc
2.2996 2.2996 4.6824 Sc
2.2996 2.2996 9.2128 Sc
```